Starting from a DFT-relaxed cell (PBE, the Materials Project), the powder diffractogram of Ba2MgTl2CuO6 was simulated for Cu Ka.
No peak broadening, texture or thermal motion is included.

Structure:
Cell lengths 5.4274, 5.4420, 14.4752 Å; angles 90.00, 90.22, 90.00 degrees
Space group C2 (No. 5)
Symmetry-distinct sites (fractional):
1 Ba 0.9998 0.0000 0.1383
2 Mg 0.0000 0.0115 0.5000
3 Tl 0.0531 0.4599 0.6511
4 Cu 0.0000 0.4996 0.0000
5 O 0.0094 0.5100 0.1993
6 O 0.2492 0.7640 0.5568
7 O 0.2501 0.2499 0.0000

Principal peaks in the range 2θ from 10° to 90°, in order of rising 2θ:
Position (°2θ)	I (rel.)	h k l
23.95	36	1 1 -1
24.60	16	0 0 4
29.72	100	1 1 3
32.96	40	0 2 0
37.27	11	0 0 6
41.52	19	2 0 -4
47.31	18	2 2 0
56.82	17	1 3 3